For Cd2TePtO6, a cell relaxed with GGA-PBE gives the theoretical powder XRD pattern in this record (Cu Kα).

Cell and atoms:
abc: 5.727 5.727 4.400
angles: 90.00 90.00 90.00
Fractional positions:
Cd  0.000  0.500  0.000
Cd  0.500  0.000  0.000
Te  0.000  0.000  0.605
Pt  0.500  0.500  0.647
O  0.000  0.000  0.175
O  0.251  0.251  0.709
O  0.251  0.749  0.709
O  0.500  0.500  0.153
O  0.749  0.251  0.709
O  0.749  0.749  0.709

Top 8 peaks for 15 to 90 degrees two-theta, by angle:
d (Å), Position (°2θ), intensity
4.400, 20.18, 22
2.980, 29.99, 100
2.864, 31.23, 53
2.025, 44.76, 30
1.933, 47.00, 23
1.745, 52.45, 14
1.675, 54.81, 37
1.398, 66.92, 16

For TmCdPtO6, a cell relaxed with GGA-PBE gives the theoretical powder XRD pattern in this record (Cu Kα).

Cell and atoms:
abc: 5.560 5.560 8.971
angles: 90.00 90.00 120.00
Fractional positions:
Tm  0.333  0.667  0.250
Tm  0.667  0.333  0.750
Cd  0.000  0.000  0.000
Cd  0.000  0.000  0.500
Pt  0.333  0.667  0.750
Pt  0.667  0.333  0.250
O  0.034  0.378  0.628
O  0.034  0.655  0.872
O  0.345  0.378  0.872
O  0.345  0.966  0.628
O  0.378  0.034  0.128
O  0.378  0.345  0.372
O  0.622  0.655  0.628
O  0.622  0.966  0.872
O  0.655  0.034  0.372
O  0.655  0.622  0.128
O  0.966  0.345  0.128
O  0.966  0.622  0.372

Top 8 peaks for 15 to 90 degrees two-theta, by angle:
d (Å), Position (°2θ), intensity
4.486, 19.79, 25
3.282, 27.17, 100
2.780, 32.20, 67
2.363, 38.08, 31
2.121, 42.62, 30
1.746, 52.42, 49
1.686, 54.41, 29
1.605, 57.41, 21